# CsI2Cl6
Computed powder X-ray diffraction pattern, copper Kα. Input: a GGA-PBE-relaxed structure.
Intensities are scaled so that the largest is 100.

Main lines, in order of rising 2θ (2θ = 15–90°):
Position (°2θ)	Rel. int.
16.9	58
17.3	100
19.1	54
20.4	39
25.1	17
25.5	20
26.0	44
26.7	39
28.3	19
29.8	24
37.0	38
37.7	31

Structure:
Cell: 7.345 7.475 7.957 Å, 84.40 77.35 69.25°
Space group P-1 (No. 2)
One atom of each set of equivalent atoms:
Cs 0.000 0.000 0.000 (multiplicity 1)
I 0.362 0.414 0.323 (multiplicity 2)
Cl 0.039 0.566 0.229 (multiplicity 2)
Cl 0.310 0.738 0.578 (multiplicity 2)
Cl 0.461 0.128 0.105 (multiplicity 2)


# Y3BiAsN
Computed powder X-ray diffraction pattern, copper Kα. Input: a GGA-PBE-relaxed structure.
Intensities are scaled so that the largest is 100.

Main lines, in order of rising 2θ (2θ = 15–90°):
Position (°2θ)	Rel. int.
15.3	39
19.5	28
29.5	65
29.7	100
30.1	93
30.7	20
33.6	21
37.9	56
39.5	27
41.3	20
43.8	31
53.7	28

Structure:
Cell: 8.897 4.136 9.246 Å, 90.00 100.65 90.00°
Space group P2_1/m (No. 11)
One atom of each set of equivalent atoms:
Y 0.085 0.250 0.356 (multiplicity 2)
Y 0.349 0.250 0.989 (multiplicity 2)
Y 0.378 0.750 0.668 (multiplicity 2)
Bi 0.329 0.750 0.291 (multiplicity 2)
As 0.144 0.250 0.668 (multiplicity 2)
N 0.408 0.750 0.903 (multiplicity 2)


# Ba8HgPtAu2
Computed powder X-ray diffraction pattern, copper Kα. Input: a GGA-PBE-relaxed structure.
Intensities are scaled so that the largest is 100.

Main lines, in order of rising 2θ (2θ = 15–90°):
Position (°2θ)	Rel. int.
16.0	55
16.1	55
21.4	31
24.2	100
31.1	24
31.6	46
31.7	47
32.3	28
32.6	26
36.5	32
38.6	57
39.7	25

Structure:
Cell: 7.669 9.860 7.942 Å, 90.00 90.51 90.00°
Space group P2/m (No. 10)
One atom of each set of equivalent atoms:
Ba 0.221 0.000 0.332 (multiplicity 2)
Ba 0.235 0.500 0.315 (multiplicity 2)
Ba 0.276 0.270 0.825 (multiplicity 4)
Hg 0.500 0.000 0.000 (multiplicity 1)
Pt 0.500 0.500 0.000 (multiplicity 1)
Au 0.000 0.254 0.500 (multiplicity 2)


# CsHfMg6
Computed powder X-ray diffraction pattern, copper Kα. Input: a GGA-PBE-relaxed structure.
Intensities are scaled so that the largest is 100.

Main lines, in order of rising 2θ (2θ = 15–90°):
Position (°2θ)	Rel. int.
15.8	59
21.5	61
27.5	15
29.3	20
31.2	34
31.9	52
33.4	45
35.2	100
43.8	31
45.2	25
58.9	20
63.3	15

Structure:
Cell: 3.246 11.234 12.193 Å, 90.00 90.00 90.00°
Space group Amm2 (No. 38)
One atom of each set of equivalent atoms:
Cs 0.000 0.000 0.000 (multiplicity 2)
Hf 0.000 0.000 0.491 (multiplicity 2)
Mg 0.000 0.233 0.319 (multiplicity 4)
Mg 0.500 0.000 0.275 (multiplicity 2)
Mg 0.500 0.000 0.722 (multiplicity 2)
Mg 0.500 0.216 0.584 (multiplicity 4)


# Er4CdCuRu2
Computed powder X-ray diffraction pattern, copper Kα. Input: a GGA-PBE-relaxed structure.
Intensities are scaled so that the largest is 100.

Main lines, in order of rising 2θ (2θ = 15–90°):
Position (°2θ)	Rel. int.
25.7	8
28.0	1
33.6	1
36.7	100
45.3	2
52.8	17
59.6	3
66.0	25
66.0	9
70.1	1
77.9	10
89.4	15

Structure:
Cell: 4.9006 4.9006 24.0461 Å, 90.00 90.00 120.00°
Space group R-3m (No. 166, hexagonal axes)
One atom of each set of equivalent atoms:
Er 0.0000 0.0000 0.1203 (multiplicity 6)
Er 0.0000 0.0000 0.3713 (multiplicity 6)
Cd 0.0000 0.0000 0.5000 (multiplicity 3)
Cu 0.0000 0.0000 0.0000 (multiplicity 3)
Ru 0.0000 0.0000 0.2493 (multiplicity 6)


# Ac4Ru2Pt
Computed powder X-ray diffraction pattern, copper Kα. Input: a GGA-PBE-relaxed structure.
Intensities are scaled so that the largest is 100.

Main lines, in order of rising 2θ (2θ = 15–90°):
Position (°2θ)	Rel. int.
26.9	100
36.2	29
36.3	26
40.6	47
48.3	11
48.4	10
49.4	15
55.5	8
55.6	9
65.8	11
71.0	11
72.3	11

Structure:
Cell: 12.944 8.888 10.049 Å, 90.00 129.90 90.00°
Space group C2 (No. 5)
One atom of each set of equivalent atoms:
Ac 0.047 0.000 0.341 (multiplicity 4)
Ac 0.050 0.492 0.337 (multiplicity 4)
Ac 0.206 0.253 0.170 (multiplicity 4)
Ac 0.214 0.743 0.178 (multiplicity 4)
Ru 0.000 0.237 0.500 (multiplicity 2)
Ru 0.000 0.493 0.000 (multiplicity 2)
Ru 0.239 0.242 0.492 (multiplicity 4)
Pt 0.246 0.498 0.997 (multiplicity 4)


> Number 1 is which compound?

CsI2Cl6